Diffraction record for Cs2Rb3Au3. The powder diffraction line list is computed, not measured: it uses a structure optimized by DFT (PBE) and λ = 1.5418 Å (Cu Kα).
No peak broadening, texture or thermal motion is included.

Unit cell a=16.0511 b=7.1302 c=16.8979 alpha=90.00 beta=91.41 gamma=90.00
Space group Cm (No. 8)
Unique sites:
Cs1 0.0000 0.0000 0.0000 [2 per cell]
Cs2 0.0076 0.0000 0.3563 [2 per cell]
Cs3 0.1221 0.5000 0.5558 [2 per cell]
Cs4 0.3222 0.0000 0.8526 [2 per cell]
Rb1 0.1046 0.5000 0.8102 [2 per cell]
Rb2 0.2154 0.5000 0.0510 [2 per cell]
Rb3 0.2210 0.5000 0.3050 [2 per cell]
Rb4 0.3378 0.0000 0.4906 [2 per cell]
Rb5 0.4092 0.0000 0.1789 [2 per cell]
Rb6 0.4181 0.5000 0.6805 [2 per cell]
Au1 0.0056 0.5000 0.9887 [2 per cell]
Au2 0.0149 0.5000 0.3692 [2 per cell]
Au3 0.3141 0.5000 0.8697 [2 per cell]
Au4 0.3304 0.5000 0.4846 [2 per cell]
Au5 0.3884 0.5000 0.1777 [2 per cell]
Au6 0.4386 0.0000 0.6749 [2 per cell]

Most intense lines, 2θ = 5–70°, sorted by position:
2θ (°)	I/Imax	h k l
11.03	70	2 0 0
13.59	60	1 1 0
19.03	35	2 0 -3
19.48	42	2 0 3
24.98	100	0 2 0
26.97	33	4 0 -3
27.62	28	4 0 3
31.83	49	0 0 6
35.48	31	6 0 2
37.09	29	4 2 -3



Diffraction record for CsKCd5. The powder diffraction line list is computed, not measured: it uses a structure optimized by DFT (PBE) and λ = 1.5418 Å (Cu Kα).
No peak broadening, texture or thermal motion is included.

Unit cell a=11.0974 b=6.2109 c=14.1501 alpha=90.00 beta=90.00 gamma=90.00
Space group Pnma (No. 62)
Unique sites:
Cs1 0.0994 0.2500 0.1048 [4 per cell]
K1 0.2201 0.2500 0.4013 [4 per cell]
Cd1 0.0734 0.7500 0.4738 [4 per cell]
Cd2 0.0944 0.5067 0.6602 [8 per cell]
Cd3 0.0958 0.2500 0.8374 [4 per cell]
Cd4 0.1568 0.7500 0.2617 [4 per cell]

Most intense lines, 2θ = 5–70°, sorted by position:
2θ (°)	I/Imax	h k l
10.13	25	1 0 1
15.58	21	0 1 1
17.52	33	1 1 1
23.69	24	0 1 3
28.78	80	3 1 1
32.27	24	4 0 0
33.32	56	2 1 4
33.67	38	2 2 1
35.57	100	2 0 5
54.41	24	5 2 3



Diffraction record for Pm2Al9Ni3. The powder diffraction line list is computed, not measured: it uses a structure optimized by DFT (PBE) and λ = 1.5418 Å (Cu Kα).
No peak broadening, texture or thermal motion is included.

Unit cell a=13.0494 b=7.4870 c=10.4029 alpha=90.00 beta=114.74 gamma=90.00
Space group C2/c (No. 15)
Unique sites:
Pm1 0.1694 0.0840 0.2500 [8 per cell]
Al1 0.0000 0.3701 0.2500 [4 per cell]
Al2 0.0608 0.0829 0.9312 [8 per cell]
Al3 0.0990 0.4153 0.0467 [8 per cell]
Al4 0.1043 0.3142 0.7477 [8 per cell]
Al5 0.2265 0.4174 0.4329 [8 per cell]
Ni1 0.0845 0.2454 0.5005 [8 per cell]
Ni2 0.2500 0.2500 0.0000 [4 per cell]

Most intense lines, 2θ = 5–70°, sorted by position:
2θ (°)	I/Imax	h k l
13.99	17	1 1 0
25.49	49	3 1 -2
25.60	25	0 2 1
30.36	24	3 1 -3
30.42	43	3 1 1
37.26	100	0 2 3
38.10	32	0 0 4
41.52	31	6 0 -2
41.73	61	3 3 -1
57.77	26	3 3 -5



Diffraction record for PmPr2TmS6. The powder diffraction line list is computed, not measured: it uses a structure optimized by DFT (PBE) and λ = 1.5418 Å (Cu Kα).
No peak broadening, texture or thermal motion is included.

Unit cell a=7.1218 b=7.1218 c=18.7148 alpha=90.00 beta=90.00 gamma=120.00
Space group R3 (No. 146, hexagonal axes)
Unique sites:
Pm1 0.0000 0.0000 0.0000 [3 per cell]
Pr1 0.0000 0.0000 0.2900 [3 per cell]
Pr2 0.0000 0.0000 0.7925 [3 per cell]
Tm1 0.0000 0.0000 0.4965 [3 per cell]
S1 0.0452 0.3526 0.5656 [9 per cell]
S2 0.0494 0.6801 0.0673 [9 per cell]

Most intense lines, 2θ = 5–70°, sorted by position:
2θ (°)	I/Imax	h k l
17.22	35	0 1 2
23.87	100	1 0 4
25.01	96	1 1 0
34.84	52	0 2 4
38.36	69	2 -1 6
43.37	50	3 -1 4
44.05	48	3 0 0
51.00	21	1 0 10
59.81	17	2 2 6
63.78	18	2 1 10



Diffraction record for Na2CePuO6. The powder diffraction line list is computed, not measured: it uses a structure optimized by DFT (PBE) and λ = 1.5418 Å (Cu Kα).
No peak broadening, texture or thermal motion is included.

Unit cell a=6.0876 b=6.0876 c=4.2846 alpha=90.00 beta=90.00 gamma=90.00
Space group P4mm (No. 99)
Unique sites:
Na1 0.0000 0.5000 0.0000 [2 per cell]
Ce1 0.0000 0.0000 0.6004 [1 per cell]
Pu1 0.5000 0.5000 0.6287 [1 per cell]
O1 0.0000 0.0000 0.1075 [1 per cell]
O2 0.2641 0.2641 0.6456 [4 per cell]
O3 0.5000 0.5000 0.1290 [1 per cell]

Most intense lines, 2θ = 5–70°, sorted by position:
2θ (°)	I/Imax	h k l
20.67	100	0 0 1
29.39	92	2 0 0
36.20	14	2 0 1
41.98	22	2 2 0
47.24	30	2 2 1
47.40	18	1 1 2
52.08	25	3 1 1
52.21	11	2 0 2
65.15	14	3 1 2
69.01	12	4 2 0



Diffraction record for FeCo14Ni. The powder diffraction line list is computed, not measured: it uses a structure optimized by DFT (PBE) and λ = 1.5418 Å (Cu Kα).
No peak broadening, texture or thermal motion is included.

Unit cell a=8.1137 b=5.0086 c=8.6551 alpha=90.00 beta=90.00 gamma=90.00
Space group Amm2 (No. 38)
Unique sites:
Fe1 0.0000 0.0000 0.0000 [2 per cell]
Co1 0.0000 0.2485 0.2489 [4 per cell]
Co2 0.2477 0.0000 0.3318 [4 per cell]
Co3 0.2524 0.2470 0.5820 [8 per cell]
Co4 0.2528 0.0000 0.8307 [4 per cell]
Co5 0.5000 0.0000 0.1642 [2 per cell]
Co6 0.5000 0.0000 0.6650 [2 per cell]
Co7 0.5000 0.2494 0.9141 [4 per cell]
Ni1 0.0000 0.0000 0.4991 [2 per cell]

Most intense lines, 2θ = 5–70°, sorted by position:
2θ (°)	I/Imax	h k l
41.70	8	0 0 4
43.23	45	1 0 4
44.67	36	4 0 0
47.59	100	2 2 2
54.25	22	3 0 4
62.76	4	4 0 4



Diffraction record for Nd8ErTm5. The powder diffraction line list is computed, not measured: it uses a structure optimized by DFT (PBE) and λ = 1.5418 Å (Cu Kα).
No peak broadening, texture or thermal motion is included.

Unit cell a=8.5590 b=8.5655 c=8.6104 alpha=114.24 beta=116.07 gamma=98.31
Space group P1 (No. 1)
Unique sites:
Nd1 0.0000 0.0000 0.0000 [1 per cell]
Nd2 0.0018 0.6845 0.5715 [1 per cell]
Nd3 0.3879 0.4945 0.3251 [1 per cell]
Nd4 0.4388 0.1250 0.5618 [1 per cell]
Nd5 0.5513 0.5544 0.9897 [1 per cell]
Nd6 0.6069 0.1854 0.2350 [1 per cell]
Nd7 0.7339 0.9455 0.5102 [1 per cell]
Nd8 0.8732 0.3464 0.0494 [1 per cell]
Er1 0.0002 0.8394 0.2813 [1 per cell]
Tm1 0.1299 0.3403 0.5190 [1 per cell]
Tm2 0.2203 0.1567 0.8174 [1 per cell]
Tm3 0.2589 0.7340 0.0415 [1 per cell]
Tm4 0.4929 0.8366 0.7792 [1 per cell]
Tm5 0.7767 0.5265 0.7430 [1 per cell]

Most intense lines, 2θ = 5–70°, sorted by position:
2θ (°)	I/Imax	h k l
23.26	16	1 -2 1
25.80	25	1 2 -2
29.83	45	-2 1 2
31.13	38	2 -2 1
31.68	100	1 1 1
31.96	39	2 2 -2
32.20	18	2 1 -3
32.55	60	3 0 -1
34.53	41	1 -3 0
50.20	21	4 1 -4



Diffraction record for Ba5Sb2As. The powder diffraction line list is computed, not measured: it uses a structure optimized by DFT (PBE) and λ = 1.5418 Å (Cu Kα).
No peak broadening, texture or thermal motion is included.

Unit cell a=14.0562 b=10.4162 c=9.1996 alpha=90.00 beta=90.00 gamma=90.00
Space group Pnma (No. 62)
Unique sites:
Ba1 0.0002 0.2500 0.0425 [4 per cell]
Ba2 0.0812 0.0311 0.6831 [8 per cell]
Ba3 0.1969 0.7500 0.3501 [4 per cell]
Ba4 0.2128 0.2500 0.3272 [4 per cell]
Sb1 0.1729 0.5065 0.0585 [8 per cell]
As1 0.0096 0.7500 0.5669 [4 per cell]

Most intense lines, 2θ = 5–70°, sorted by position:
2θ (°)	I/Imax	h k l
23.35	37	2 2 1
26.62	100	1 2 2
27.17	85	4 0 1
27.39	80	3 2 1
28.84	81	2 2 2
29.82	31	1 0 3
30.69	45	4 2 0
34.45	53	0 4 0
44.41	33	4 4 1
54.48	22	2 2 5



Diffraction record for K3Zn2Sb4Pb2. The powder diffraction line list is computed, not measured: it uses a structure optimized by DFT (PBE) and λ = 1.5418 Å (Cu Kα).
No peak broadening, texture or thermal motion is included.

Unit cell a=4.5062 b=4.5062 c=22.0441 alpha=90.00 beta=90.00 gamma=120.00
Space group P-3m1 (No. 164)
Unique sites:
K1 0.0000 0.0000 0.0000 [1 per cell]
K2 0.0000 0.0000 0.2479 [2 per cell]
Zn1 0.3333 0.6667 0.1242 [2 per cell]
Sb1 0.3333 0.6667 0.3594 [2 per cell]
Sb2 0.3333 0.6667 0.8779 [2 per cell]
Pb1 0.3333 0.6667 0.5674 [2 per cell]

Most intense lines, 2θ = 5–70°, sorted by position:
2θ (°)	I/Imax	h k l
8.02	24	0 0 2
16.08	47	0 0 4
22.79	33	1 0 0
25.85	34	1 0 3
28.02	100	0 1 4
30.59	44	1 0 5
33.50	36	0 1 6
40.02	72	1 1 0
43.39	23	1 1 4
47.35	24	1 0 10



Diffraction record for Ba7AgAu5. The powder diffraction line list is computed, not measured: it uses a structure optimized by DFT (PBE) and λ = 1.5418 Å (Cu Kα).
No peak broadening, texture or thermal motion is included.

Unit cell a=15.8220 b=4.7267 c=28.1744 alpha=90.00 beta=90.02 gamma=90.00
Space group Cm (No. 8)
Unique sites:
Ba1 0.0000 0.0000 0.0000 [2 per cell]
Ba2 0.0002 0.0000 0.1509 [2 per cell]
Ba3 0.1364 0.5000 0.5000 [2 per cell]
Ba4 0.1359 0.5000 0.6511 [2 per cell]
Ba5 0.1818 0.0000 0.7889 [2 per cell]
Ba6 0.1826 0.0000 0.3619 [2 per cell]
Ba7 0.2282 0.5000 0.9335 [2 per cell]
Ba8 0.2287 0.5000 0.2172 [2 per cell]
Ba9 0.2686 0.0000 0.0754 [2 per cell]
Ba10 0.3679 0.0000 0.5756 [2 per cell]
Ba11 0.4073 0.5000 0.7176 [2 per cell]
Ba12 0.4079 0.5000 0.4333 [2 per cell]
Ba13 0.4543 0.0000 0.2887 [2 per cell]
Ba14 0.4536 0.0000 0.8621 [2 per cell]
Ag1 0.0288 0.0000 0.5756 [2 per cell]
Ag2 0.1079 0.5000 0.0755 [2 per cell]
Au1 0.0428 0.5000 0.7543 [2 per cell]
Au2 0.0435 0.5000 0.3966 [2 per cell]
Au3 0.0933 0.0000 0.2541 [2 per cell]
Au4 0.0927 0.0000 0.8967 [2 per cell]
Au5 0.2735 0.0000 0.6804 [2 per cell]
Au6 0.2741 0.0000 0.4706 [2 per cell]
Au7 0.3184 0.5000 0.3252 [2 per cell]
Au8 0.3177 0.5000 0.8255 [2 per cell]
Au9 0.3624 0.0000 0.9706 [2 per cell]
Au10 0.3627 0.0000 0.1802 [2 per cell]

Most intense lines, 2θ = 5–70°, sorted by position:
2θ (°)	I/Imax	h k l
6.27	36	0 0 2
24.82	48	2 0 7
25.50	26	3 1 1
26.09	89	3 1 2
27.05	100	3 1 3
27.73	45	2 0 -8
34.84	30	1 1 -9
37.63	77	6 0 5
37.75	49	5 1 5
38.08	45	0 2 0



Diffraction record for GaBiPSe. The powder diffraction line list is computed, not measured: it uses a structure optimized by DFT (PBE) and λ = 1.5418 Å (Cu Kα).
No peak broadening, texture or thermal motion is included.

Unit cell a=6.9436 b=3.7276 c=7.6551 alpha=90.00 beta=98.21 gamma=90.00
Space group Cm (No. 8)
Unique sites:
Ga1 0.0000 0.0000 0.0000 [2 per cell]
Bi1 0.0929 0.0000 0.5364 [2 per cell]
P1 0.4423 0.0000 0.7508 [2 per cell]
Se1 0.2126 0.5000 0.1761 [2 per cell]

Most intense lines, 2θ = 5–70°, sorted by position:
2θ (°)	I/Imax	h k l
11.68	50	0 0 1
23.48	78	0 0 2
25.93	59	2 0 0
27.22	80	1 1 0
28.94	97	1 1 -1
30.05	59	2 0 1
32.58	70	2 0 -2
34.96	73	1 1 -2
37.49	100	1 1 2
46.57	74	3 1 0